[1]
BeH4NF3: simulated powder diffraction line list (λ = 1.5418 Å (Cu Kα)), based on DFT lattice parameters and positions (GGA-PBE).
Intensities are scaled so that the largest is 100.

```
data_BeH4NF3
_chemical_formula_sum 'Be4 H16 N4 F12'
_cell_length_a 4.3241
_cell_length_b 6.3024
_cell_length_c 14.6394
_cell_angle_alpha 90.00
_cell_angle_beta 90.00
_cell_angle_gamma 90.00
_space_group_name_H-M_alt 'P 21 21 21'
_space_group_IT_number 19
loop_
_space_group_symop_operation_xyz
'x,y,z'
'-x+1/2,-y,z+1/2'
'x+1/2,-y+1/2,-z'
'-x,y+1/2,-z+1/2'
loop_
_atom_site_label
_atom_site_type_symbol
_atom_site_fract_x
_atom_site_fract_y
_atom_site_fract_z
Be1 Be 0.1103 0.0114 0.3827
H1 H 0.0250 0.5560 0.9017
H2 H 0.1404 0.9111 0.1018
H3 H 0.1750 0.0014 0.6945
H4 H 0.2159 0.8386 0.6009
N1 N 0.1783 0.9931 0.6235
F1 F 0.1195 0.3950 0.0621
F2 F 0.1700 0.2382 0.4058
F3 F 0.2309 0.0898 0.8051
```

Principal peaks in the range 2θ = 10–90°, most intense first:
2θ 31.1, intensity 100.0, (1 1 3)
2θ 25.0, intensity 71.7, (1 1 0)
2θ 25.7, intensity 69.7, (1 1 1)
2θ 24.3, intensity 62.3, (0 0 4)
2θ 27.8, intensity 58.1, (1 1 2)
2θ 39.9, intensity 38.3, (1 2 3)

[2]
Cu4GeTe5: simulated powder diffraction line list (λ = 1.5418 Å (Cu Kα)), based on DFT lattice parameters and positions (GGA-PBE).
Intensities are scaled so that the largest is 100.

```
data_Cu4GeTe5
_chemical_formula_sum 'Cu12 Ge3 Te15'
_cell_length_a 4.2728
_cell_length_b 4.2728
_cell_length_c 51.2747
_cell_angle_alpha 90.00
_cell_angle_beta 90.00
_cell_angle_gamma 120.00
_space_group_name_H-M_alt 'R 3 m'
_space_group_IT_number 160
_space_group_name_Hall 'R 3 -2"'
loop_
_atom_site_label
_atom_site_type_symbol
_atom_site_fract_x
_atom_site_fract_y
_atom_site_fract_z
Cu1 Cu 0.0000 0.0000 0.0000
Cu2 Cu 0.0000 0.0000 0.1927
Cu3 Cu 0.0000 0.0000 0.3981
Cu4 Cu 0.0000 0.0000 0.7961
Ge1 Ge 0.0000 0.0000 0.6023
Te1 Te 0.0000 0.0000 0.0503
Te2 Te 0.0000 0.0000 0.2432
Te3 Te 0.0000 0.0000 0.4480
Te4 Te 0.0000 0.0000 0.6548
Te5 Te 0.0000 0.0000 0.8463
```

Principal peaks in the range 2θ = 10–90°, most intense first:
2θ 25.6, intensity 100.0, (0 1 5)
2θ 42.3, intensity 49.6, (1 1 0)
2θ 42.9, intensity 37.9, (0 1 20)
2θ 26.1, intensity 30.2, (0 0 15)
2θ 50.4, intensity 29.0, (1 1 15)
2θ 50.1, intensity 15.6, (2 0 5)

[3]
ZnSiAsO6: simulated powder diffraction line list (λ = 1.5418 Å (Cu Kα)), based on DFT lattice parameters and positions (GGA-PBE).
Intensities are scaled so that the largest is 100.

```
data_ZnSiAsO6
_chemical_formula_sum 'Zn2 Si2 As2 O12'
_cell_length_a 4.8088
_cell_length_b 4.8088
_cell_length_c 8.9015
_cell_angle_alpha 90.00
_cell_angle_beta 90.00
_cell_angle_gamma 120.00
_space_group_name_H-M_alt 'P -3 1 c'
_space_group_IT_number 163
_space_group_name_Hall '-P 3 2c'
loop_
_atom_site_label
_atom_site_type_symbol
_atom_site_fract_x
_atom_site_fract_y
_atom_site_fract_z
Zn1 Zn 0.0000 0.0000 0.0000
Si1 Si 0.3333 0.6667 0.2500
As1 As 0.3333 0.6667 0.7500
O1 O 0.0096 0.3673 0.1391
```

Principal peaks in the range 2θ = 10–90°, most intense first:
2θ 29.4, intensity 100.0, (1 0 2)
2θ 56.3, intensity 44.6, (1 1 4)
2θ 37.4, intensity 27.3, (1 1 0)
2θ 48.3, intensity 22.4, (2 0 2)
2θ 62.6, intensity 21.5, (2 1 2)
2θ 67.5, intensity 16.4, (3 0 0)